# CoAs2
Theoretical X-ray powder pattern, a wavelength of 1.5418 Å. Input: a DFT-relaxed cell (PBE, OQMD).
Neutral-atom scattering factors, no anomalous dispersion.

Cell and atoms:
Unit cell a=5.935 b=5.877 c=5.978 alpha=90.00 beta=116.21 gamma=90.00
Atoms (fractional coordinates):
Co1 0.228 0.001 0.215
Co2 0.228 0.499 0.715
Co3 0.772 0.501 0.285
Co4 0.772 0.999 0.785
As1 0.157 0.136 0.826
As2 0.157 0.364 0.326
As3 0.347 0.634 0.133
As4 0.347 0.866 0.633
As5 0.653 0.134 0.367
As6 0.653 0.366 0.867
As7 0.843 0.636 0.674
As8 0.843 0.864 0.174

Most intense lines, 10° ≤ 2θ ≤ 90°, by intensity:
35.3 deg, intensity 100
37.1 deg, intensity 51
36.8 deg, intensity 49
55.2 deg, intensity 45
33.7 deg, intensity 44
48.9 deg, intensity 35
33.4 deg, intensity 34
48.5 deg, intensity 30
56.8 deg, intensity 25
38.8 deg, intensity 22

# Co15As
Theoretical X-ray powder pattern, a wavelength of 1.5418 Å. Input: a DFT-relaxed cell (PBE, OQMD).
Neutral-atom scattering factors, no anomalous dispersion.

Cell and atoms:
Unit cell a=4.289 b=33.381 c=4.289 alpha=90.00 beta=109.88 gamma=90.00
Atoms (fractional coordinates):
Co1 0.000 0.018 0.250
Co2 0.000 0.056 0.750
Co3 0.000 0.093 0.250
Co4 0.000 0.130 0.750
Co5 0.000 0.167 0.250
Co6 0.000 0.203 0.750
Co7 0.000 0.241 0.250
Co8 0.000 0.759 0.750
Co9 0.000 0.797 0.250
Co10 0.000 0.833 0.750
Co11 0.000 0.870 0.250
Co12 0.000 0.907 0.750
Co13 0.000 0.944 0.250
Co14 0.000 0.982 0.750
Co15 0.500 0.019 0.750
Co16 0.500 0.055 0.250
Co17 0.500 0.093 0.750
Co18 0.500 0.129 0.250
Co19 0.500 0.167 0.750
Co20 0.500 0.203 0.250
Co21 0.500 0.241 0.750
Co22 0.500 0.275 0.250
Co23 0.500 0.725 0.750
Co24 0.500 0.759 0.250
Co25 0.500 0.797 0.750
Co26 0.500 0.833 0.250
Co27 0.500 0.871 0.750
Co28 0.500 0.907 0.250
Co29 0.500 0.945 0.750
Co30 0.500 0.981 0.250
As1 0.000 0.279 0.750
As2 0.000 0.721 0.250

Most intense lines, 10° ≤ 2θ ≤ 90°, by intensity:
45.0 deg, intensity 100
43.7 deg, intensity 53
46.0 deg, intensity 45
51.4 deg, intensity 32
53.5 deg, intensity 28
10.6 deg, intensity 23
52.1 deg, intensity 21
76.2 deg, intensity 18
77.9 deg, intensity 17
52.2 deg, intensity 11

# Co7As
Theoretical X-ray powder pattern, a wavelength of 1.5418 Å. Input: a DFT-relaxed cell (PBE, OQMD).
Neutral-atom scattering factors, no anomalous dispersion.

Cell and atoms:
Unit cell a=2.558 b=2.558 c=39.768 alpha=90.00 beta=90.00 gamma=90.00
Atoms (fractional coordinates):
Co1 0.250 0.250 0.021
Co2 0.250 0.250 0.106
Co3 0.250 0.250 0.191
Co4 0.250 0.250 0.275
Co5 0.250 0.250 0.767
Co6 0.250 0.250 0.852
Co7 0.250 0.250 0.936
Co8 0.750 0.750 0.064
Co9 0.750 0.750 0.148
Co10 0.750 0.750 0.233
Co11 0.750 0.750 0.725
Co12 0.750 0.750 0.809
Co13 0.750 0.750 0.894
Co14 0.750 0.750 0.979
As1 0.250 0.250 0.681
As2 0.750 0.750 0.319

Most intense lines, 10° ≤ 2θ ≤ 90°, by intensity:
44.8 deg, intensity 100
50.5 deg, intensity 47
43.3 deg, intensity 39
74.1 deg, intensity 14
78.2 deg, intensity 13
11.1 deg, intensity 11
76.2 deg, intensity 11
55.5 deg, intensity 10
53.0 deg, intensity 10
89.9 deg, intensity 8

# CoAs3
Theoretical X-ray powder pattern, a wavelength of 1.5418 Å. Input: a DFT-relaxed cell (PBE, OQMD).
Neutral-atom scattering factors, no anomalous dispersion.

Cell and atoms:
Unit cell a=7.148 b=7.148 c=7.148 alpha=109.47 beta=109.47 gamma=109.47
Atoms (fractional coordinates):
Co1 0.000 0.000 0.500
Co2 0.000 0.500 0.000
Co3 0.500 0.000 0.000
Co4 0.500 0.500 0.500
As1 0.152 0.341 0.493
As2 0.152 0.659 0.811
As3 0.189 0.848 0.341
As4 0.341 0.189 0.848
As5 0.341 0.493 0.152
As6 0.493 0.152 0.341
As7 0.507 0.848 0.659
As8 0.659 0.507 0.848
As9 0.659 0.811 0.152
As10 0.811 0.152 0.659
As11 0.848 0.341 0.189
As12 0.848 0.659 0.507

Most intense lines, 10° ≤ 2θ ≤ 90°, by intensity:
34.4 deg, intensity 100
49.4 deg, intensity 35
40.9 deg, intensity 31
56.9 deg, intensity 29
54.5 deg, intensity 21
66.0 deg, intensity 15
78.6 deg, intensity 15
15.2 deg, intensity 11
26.5 deg, intensity 11
21.5 deg, intensity 10

# CoCu5As2
Theoretical X-ray powder pattern, a wavelength of 1.5418 Å. Input: a DFT-relaxed cell (PBE, OQMD).
Neutral-atom scattering factors, no anomalous dispersion.

Cell and atoms:
Unit cell a=4.172 b=4.172 c=5.909 alpha=90.00 beta=90.00 gamma=90.00
Atoms (fractional coordinates):
Co1 0.000 0.000 0.000
Cu1 0.000 0.500 0.250
Cu2 0.000 0.500 0.750
Cu3 0.500 0.000 0.250
Cu4 0.500 0.000 0.750
Cu5 0.500 0.500 0.500
As1 0.000 0.000 0.500
As2 0.500 0.500 0.000

Most intense lines, 10° ≤ 2θ ≤ 90°, by intensity:
43.4 deg, intensity 100
79.5 deg, intensity 30
63.0 deg, intensity 10
62.9 deg, intensity 5